Record 1
The following is a calculated X-ray powder pattern of GaCu15. It was derived from a PBE-relaxed structure, using Cu Kα (weighted mean of Kα1 and Kα2).
Kinematic intensities with the Lorentz-polarization factor, no thermal factor.

Largest 10 diffraction maxima, low angle first, 2θ from 15° to 90°:
two_theta	Rel. int.	(hkl)
42.50	68.0	2 0 11
43.78	100.0	2 0 12
49.57	18.2	0 0 23
50.56	51.2	2 1 0
51.88	7.5	0 0 24
73.51	20.3	2 1 23
74.30	14.7	4 0 0
75.36	9.1	2 1 24
89.54	13.9	4 1 11
89.79	13.1	2 0 35

Structure:
```
data_GaCu15
_chemical_formula_sum 'Ga2 Cu30'
_space_group_name_H-M_alt 'P 1 21/m 1'
_space_group_IT_number 11
_space_group_name_Hall '-P 2yb'
_cell_length_a 5.1067
_cell_length_b 2.5535
_cell_length_c 42.2945
_cell_angle_alpha 90.00
_cell_angle_beta 90.01
_cell_angle_gamma 90.00
loop_
_atom_site_label
_atom_site_fract_x
_atom_site_fract_y
_atom_site_fract_z
_atom_site_occupancy
Ga1 0.1251 0.2500 0.1738 1
Cu1 0.1239 0.2500 0.6928 1
Cu2 0.1249 0.2500 0.2641 1
Cu3 0.1251 0.2500 0.3500 1
Cu4 0.1249 0.2500 0.4356 1
Cu5 0.1250 0.2500 0.5214 1
Cu6 0.1253 0.2500 0.6073 1
Cu7 0.1256 0.2500 0.7785 1
Cu8 0.3739 0.7500 0.3072 1
Cu9 0.3753 0.7500 0.3928 1
Cu10 0.3750 0.7500 0.4786 1
Cu11 0.3749 0.7500 0.5643 1
Cu12 0.3751 0.7500 0.6502 1
Cu13 0.3749 0.7500 0.7351 1
Cu14 0.3751 0.7500 0.8216 1
Cu15 0.3756 0.7500 0.2215 1
```

---

Record 2
The following is a calculated X-ray powder pattern of GdHo2Ga3Cu2Ni. It was derived from a PBE-relaxed structure, using Cu Kα (weighted mean of Kα1 and Kα2).
Kinematic intensities with the Lorentz-polarization factor, no thermal factor.

Largest 10 diffraction maxima, low angle first, 2θ from 15° to 90°:
two_theta	Rel. int.	(hkl)
25.67	15.2	0 0 2
29.73	14.3	0 4 0
34.24	100.0	1 0 2
37.46	79.6	1 2 2
39.65	27.9	0 4 2
39.72	14.8	0 5 1
45.46	24.7	2 0 0
60.12	18.7	1 2 4
61.89	23.0	2 5 1
72.59	12.5	1 8 2

Structure:
```
data_GdHo2Ga3Cu2Ni
_chemical_formula_sum 'Gd2 Ho4 Ga6 Cu4 Ni2'
_space_group_name_H-M_alt 'A m m 2'
_space_group_IT_number 38
_space_group_name_Hall 'A 2 -2'
_cell_length_a 3.9907
_cell_length_b 12.0032
_cell_length_c 6.9499
_cell_angle_alpha 90.00
_cell_angle_beta 90.00
_cell_angle_gamma 90.00
loop_
_atom_site_label
_atom_site_fract_x
_atom_site_fract_y
_atom_site_fract_z
_atom_site_occupancy
Gd1 0.0000 0.0000 0.0000 1
Ho1 0.0000 0.2050 0.6154 1
Ga1 0.5000 0.0000 0.6468 1
Ga2 0.5000 0.1184 0.2937 1
Cu1 0.5000 0.1686 0.9100 1
Ni1 0.0000 0.0000 0.4136 1
```